Record 1
The following is a calculated PXRD pattern of K2TbBO4. It was derived from a DFT-relaxed cell (GGA-PBE, Alexandria), using Cu Ka.

Peak list (10 most intense, 10 to 90 degrees two-theta, most intense first)
hkl  Position (°2θ)  I_rel
0 0 4  15.27  100
0 2 2  17.40  71
0 2 6  27.92  62
1 3 5  35.29  58
1 1 1  19.47  54
1 1 5  27.14  40
1 3 1  29.66  36
2 2 0  38.72  24
2 4 10  63.30  21
0 4 0  31.54  19

Crystal structure
Cell: 5.0986 11.3479 23.2047 Å, 90.00 90.00 90.00°
Space group Fddd (No. 70, origin choice 2)
Asymmetric unit:
K 0.1250 0.1250 0.3103
Tb 0.1250 0.1250 0.1250
B 0.1250 0.1250 0.6250
O 0.0422 0.2931 0.8373

Record 2
The following is a calculated PXRD pattern of Pm3Sm2Bi3. It was derived from a DFT-relaxed cell (GGA-PBE, Alexandria), using Cu Ka.

Peak list (10 most intense, 10 to 90 degrees two-theta, most intense first)
hkl  Position (°2θ)  I_rel
2 1 1  32.09  100
1 1 2  33.36  77
3 0 0  32.93  54
2 1 3  51.33  31
0 0 2  27.28  24
2 1 0  28.95  22
3 1 1  42.26  21
5 0 2  63.74  20
2 2 2  47.58  18
3 0 4  66.76  14

Crystal structure
Cell: 9.4223 9.4223 6.5390 Å, 90.00 90.00 120.00°
Space group P6_3/mcm (No. 193)
Asymmetric unit:
Pm 0.0000 0.2460 0.2500
Sm 0.3333 0.6667 0.0000
Bi 0.0000 0.3888 0.7500

Record 3
The following is a calculated PXRD pattern of AlTcHg. It was derived from a DFT-relaxed cell (GGA-PBE, Alexandria), using Cu Ka.

Peak list (10 most intense, 10 to 90 degrees two-theta, most intense first)
hkl  Position (°2θ)  I_rel
1 0 1  37.34  100
0 1 2  44.23  55
0 0 1  13.13  50
0 0 3  40.12  20
1 0 0  34.80  20
0 0 2  26.44  20
1 0 4  66.24  20
1 1 3  76.81  18
1 1 0  62.39  18
1 0 3  54.13  14

Crystal structure
Cell: 2.9769 2.9769 6.7431 Å, 90.00 90.00 120.00°
Space group P3m1 (No. 156)
Asymmetric unit:
Al 0.0000 0.0000 0.0000
Tc 0.3333 0.6667 0.7152
Hg 0.6667 0.3333 0.3606

Record 4
The following is a calculated PXRD pattern of PuPa2Pb9. It was derived from a DFT-relaxed cell (GGA-PBE, Alexandria), using Cu Ka.

Peak list (7 most intense, 10 to 90 degrees two-theta, most intense first)
hkl  Position (°2θ)  I_rel
1 1 3  32.11  100
2 0 0  37.24  51
3 1 3  63.95  43
2 2 0  53.69  36
3 3 3  88.21  19
2 2 6  67.16  13
4 0 0  79.38  6

Crystal structure
Cell: 4.8275 4.8275 14.4908 Å, 90.00 90.00 90.00°
Space group P4/mmm (No. 123)
Asymmetric unit:
Pu 0.0000 0.0000 0.0000
Pa 0.0000 0.0000 0.3368
Pb 0.0000 0.5000 0.1681
Pb 0.0000 0.5000 0.5000
Pb 0.5000 0.5000 0.0000
Pb 0.5000 0.5000 0.3335

Record 5
The following is a calculated PXRD pattern of AcZn2Ag. It was derived from a DFT-relaxed cell (GGA-PBE, Alexandria), using Cu Ka.

Peak list (10 most intense, 10 to 90 degrees two-theta, most intense first)
hkl  Position (°2θ)  I_rel
1 1 2  34.93  100
2 2 1  35.66  64
2 2 0  32.00  45
3 1 1  36.09  38
0 2 0  24.87  33
2 1 1  28.10  30
4 0 1  43.30  30
1 3 2  50.61  29
1 3 1  42.20  22
3 1 3  58.42  19

Crystal structure
Cell: 8.9638 7.1601 5.7820 Å, 90.00 90.00 90.00°
Space group Pnma (No. 62)
Asymmetric unit:
Ac 0.0589 0.2500 0.1456
Zn 0.1818 0.0629 0.6237
Ag 0.1010 0.7500 0.3590

Record 6
The following is a calculated PXRD pattern of Tm5Zr3. It was derived from a DFT-relaxed cell (GGA-PBE, Alexandria), using Cu Ka.

Peak list (10 most intense, 10 to 90 degrees two-theta, most intense first)
hkl  Position (°2θ)  I_rel
1 1 2  32.57  100
2 0 0  37.92  34
3 1 2  65.14  27
2 0 4  54.41  22
0 0 4  37.53  16
2 2 0  54.71  12
1 1 6  64.61  11
2 2 4  68.24  11
3 1 6  89.63  10
1 1 1  28.18  6

Crystal structure
Cell: 4.7452 4.7452 9.5867 Å, 90.00 90.00 90.00°
Space group P4mm (No. 99)
Asymmetric unit:
Tm 0.0000 0.0000 0.0000
Tm 0.0000 0.0000 0.4724
Tm 0.0000 0.5000 0.7474
Tm 0.5000 0.5000 0.4714
Zr 0.0000 0.5000 0.2334
Zr 0.5000 0.5000 0.0054

Record 7
The following is a calculated PXRD pattern of Li12Ga2Hg. It was derived from a DFT-relaxed cell (GGA-PBE, Alexandria), using Cu Ka.

Peak list (10 most intense, 10 to 90 degrees two-theta, most intense first)
hkl  Position (°2θ)  I_rel
0 0 3  12.82  100
1 1 3  26.89  76
1 1 0  23.53  54
2 0 3  36.03  40
1 1 6  35.21  28
1 1 4  29.25  27
1 1 7  38.64  25
2 0 0  33.52  23
2 0 6  42.79  21
3 1 3  56.00  21

Crystal structure
Cell: 5.3466 5.3466 20.7090 Å, 90.00 90.00 90.00°
Space group P4/nbm (No. 125, origin choice 2)
Asymmetric unit:
Li 0.0000 0.0000 0.0983
Li 0.0677 0.5677 0.4392
Li 0.2500 0.2500 0.2179
Li 0.2500 0.2500 0.3417
Ga 0.2500 0.7500 0.3086
Hg 0.2500 0.7500 0.0000

Record 8
The following is a calculated PXRD pattern of Pr2PuP3. It was derived from a DFT-relaxed cell (GGA-PBE, Alexandria), using Cu Ka.

Peak list (10 most intense, 10 to 90 degrees two-theta, most intense first)
hkl  Position (°2θ)  I_rel
1 1 0  30.55  100
1 0 3  26.37  92
2 0 0  43.75  74
1 0 9  51.81  46
2 0 6  54.29  26
3 1 0  72.13  23
2 1 9  70.08  19
3 1 6  80.33  17
1 1 12  72.27  11
3 0 9  86.33  11

Crystal structure
Cell: 4.1419 4.1419 17.5318 Å, 90.00 90.00 90.00°
Space group I4/mmm (No. 139)
Asymmetric unit:
Pr 0.0000 0.0000 0.1671
Pu 0.0000 0.0000 0.5000
P 0.0000 0.0000 0.0000
P 0.0000 0.0000 0.3378

Record 9
The following is a calculated PXRD pattern of Li2GaTeSe. It was derived from a DFT-relaxed cell (GGA-PBE, Alexandria), using Cu Ka.

Peak list (10 most intense, 10 to 90 degrees two-theta, most intense first)
hkl  Position (°2θ)  I_rel
1 1 0  26.41  100
1 0 1  25.43  53
1 1 2  44.20  49
2 0 0  37.69  45
2 0 2  52.23  35
1 1 1  31.68  29
0 0 2  34.79  28
3 1 2  72.57  22
0 0 1  17.19  22
2 1 1  46.02  21

Crystal structure
Cell: 4.7728 4.7728 5.1575 Å, 90.00 90.00 90.00°
Space group P4/mmm (No. 123)
Asymmetric unit:
Li 0.0000 0.5000 0.0000
Ga 0.0000 0.0000 0.5000
Te 0.5000 0.5000 0.5000
Se 0.0000 0.0000 0.0000

Record 10
The following is a calculated PXRD pattern of Pm2PuTc2N6. It was derived from a DFT-relaxed cell (GGA-PBE, Alexandria), using Cu Ka.

Peak list (10 most intense, 10 to 90 degrees two-theta, most intense first)
hkl  Position (°2θ)  I_rel
1 1 0  31.04  100
0 1 5  31.29  99
2 0 5  44.65  42
1 2 5  55.38  41
3 0 0  55.22  20
1 0 10  55.84  20
3 1 5  73.63  17
2 1 10  74.03  17
2 2 0  64.71  15
1 0 1  18.49  15

Crystal structure
Cell: 5.7620 5.7620 17.4419 Å, 90.00 90.00 120.00°
Space group R-3m (No. 166, hexagonal axes)
Asymmetric unit:
Pm 0.0000 0.0000 0.2076
Pu 0.0000 0.0000 0.0000
Tc 0.0000 0.0000 0.3984
N 0.0148 0.5074 0.7620

Record 11
The following is a calculated PXRD pattern of BaAuF. It was derived from a DFT-relaxed cell (GGA-PBE, Alexandria), using Cu Ka.

Peak list (10 most intense, 10 to 90 degrees two-theta, most intense first)
hkl  Position (°2θ)  I_rel
4 0 0  33.12  100
2 3 1  30.69  32
2 0 0  16.39  23
0 2 2  28.57  20
2 4 0  34.78  19
6 2 2  59.16  15
0 1 1  14.17  14
4 2 2  44.30  13
2 0 2  29.29  10
0 3 1  25.77  9

Crystal structure
Cell: 10.8176 11.7386 7.3817 Å, 90.00 90.00 90.00°
Space group Ima2 (No. 46)
Asymmetric unit:
Ba 0.0049 0.1730 0.0000
Ba 0.2500 0.0111 0.4219
Au 0.2500 0.2025 0.7332
Au 0.2500 0.5097 0.4684
Au 0.2500 0.7155 0.2268
F 0.0000 0.0000 0.7864
F 0.0288 0.1250 0.3461

Record 12
The following is a calculated PXRD pattern of LaNi12B6. It was derived from a DFT-relaxed cell (GGA-PBE, Alexandria), using Cu Ka.

Peak list (10 most intense, 10 to 90 degrees two-theta, most intense first)
hkl  Position (°2θ)  I_rel
1 3 2  41.08  100
4 0 2  40.93  73
3 1 3  39.16  63
2 2 1  31.50  56
2 2 2  34.55  52
1 1 5  43.63  42
0 0 6  49.36  40
3 1 4  44.96  39
0 0 4  32.30  28
3 3 4  57.67  28

Crystal structure
Cell: 9.6138 7.4126 11.0874 Å, 90.00 90.00 90.00°
Space group Cmc2_1 (No. 36)
Asymmetric unit:
La 0.0000 0.1678 0.0000
Ni 0.0000 0.2231 0.6002
Ni 0.0000 0.4297 0.4154
Ni 0.1332 0.0130 0.7558
Ni 0.1328 0.3275 0.2351
Ni 0.1325 0.3425 0.7746
Ni 0.1819 0.1879 0.4371
Ni 0.1904 0.4658 0.5671
B 0.0000 0.1644 0.3331
B 0.0000 0.4858 0.6617
B 0.2056 0.1917 0.6216
B 0.2134 0.4626 0.3859